Diffraction record for Pd9Pt3Au. The powder diffractogram is simulated, not measured: it uses a GGA-PBE-relaxed structure and Cu Kα (weighted mean of Kα1 and Kα2).
Peak positions follow from Bragg's law for the DFT cell and can differ from measured ones.

Principal peaks in the range 10° ≤ 2θ ≤ 80°, most intense first:
2θ = 39.78°, intensity 100; 2θ = 46.10°, intensity 43; 2θ = 39.53°, intensity 33; 2θ = 46.39°, intensity 21; 2θ = 67.28°, intensity 14; 2θ = 67.65°, intensity 13; 2θ = 13.15°, intensity 8; 2θ = 67.39°, intensity 7; 2θ = 67.09°, intensity 7; 2θ = 11.54°, intensity 5

Atomic structure:
Cell lengths 19.948, 2.779, 7.830 Å; angles 90.00, 101.71, 90.00 degrees
Space group Cm (No. 8)
Symmetry-distinct sites (fractional):
Pd 0.000 0.000 0.000 [2 per cell]
Pd 0.000 0.000 0.485 [2 per cell]
Pd 0.147 0.000 0.565 [2 per cell]
Pd 0.149 0.000 0.074 [2 per cell]
Pd 0.221 0.500 0.348 [2 per cell]
Pd 0.221 0.500 0.870 [2 per cell]
Pd 0.355 0.500 0.412 [2 per cell]
Pd 0.423 0.000 0.203 [2 per cell]
Pd 0.430 0.000 0.705 [2 per cell]
Pt 0.074 0.500 0.280 [2 per cell]
Pt 0.288 0.000 0.640 [2 per cell]
Pt 0.357 0.500 0.926 [2 per cell]
Au 0.075 0.500 0.782 [2 per cell]